[1]
DyErTm: theoretical powder X-ray diffraction pattern (λ = 1.5418 Å (Cu Kα)), based on DFT lattice parameters and positions (GGA-PBE).
Lines closer than 0.1° are merged.

```
data_DyErTm
_cell_length_a 7.0033
_cell_length_b 4.9636
_cell_length_c 10.4989
_cell_angle_alpha 90.00
_cell_angle_beta 90.00
_cell_angle_gamma 90.00
_space_group_name_H-M_alt 'P n m a'
_space_group_IT_number 62
loop_
_space_group_symop_operation_xyz
'x,y,z'
'-x,-y,-z'
'-x+1/2,-y,z+1/2'
'x+1/2,y,-z+1/2'
'x+1/2,-y+1/2,-z+1/2'
'-x+1/2,y+1/2,z+1/2'
'-x,y+1/2,-z'
'x,-y+1/2,z'
loop_
_atom_site_label
_atom_site_type_symbol
_atom_site_fract_x
_atom_site_fract_y
_atom_site_fract_z
Dy1 Dy 0.1249 0.2500 0.0835
Er1 Er 0.1251 0.2500 0.7497
Tm1 Tm 0.1250 0.2500 0.4168
```

Top 8 peaks for 2θ from 10° to 90°, sorted by position:
| d_spacing | 2θ (°) | I/Imax |
| --- | --- | --- |
| 2.861 | 31.3 | 100 |
| 2.477 | 36.3 | 51 |
| 1.752 | 52.2 | 36 |
| 1.496 | 62.0 | 14 |
| 1.493 | 62.2 | 28 |
| 1.430 | 65.2 | 12 |
| 1.137 | 85.4 | 15 |
| 1.107 | 88.2 | 11 |

=====

[2]
Dy4ErTm5: theoretical powder X-ray diffraction pattern (λ = 1.5418 Å (Cu Kα)), based on DFT lattice parameters and positions (GGA-PBE).
Lines closer than 0.1° are merged.

```
data_Dy4ErTm5
_cell_length_a 3.5153
_cell_length_b 6.6710
_cell_length_c 13.7106
_cell_angle_alpha 97.38
_cell_angle_beta 90.19
_cell_angle_gamma 104.83
_space_group_name_H-M_alt 'P -1'
_space_group_IT_number 2
loop_
_space_group_symop_operation_xyz
'x,y,z'
'-x,-y,-z'
loop_
_atom_site_label
_atom_site_type_symbol
_atom_site_fract_x
_atom_site_fract_y
_atom_site_fract_z
Dy1 Dy 0.1195 0.2033 0.3072
Dy2 Dy 0.1803 0.3276 0.7123
Er1 Er 0.0000 0.5000 0.5000
Tm1 Tm 0.1859 0.3745 0.0835
Tm2 Tm 0.4637 0.9185 0.1138
Tm3 Tm 0.5000 0.0000 0.5000
```

Top 8 peaks for 2θ from 10° to 90°, sorted by position:
| d_spacing | 2θ (°) | I/Imax |
| --- | --- | --- |
| 2.990 | 29.9 | 44 |
| 2.793 | 32.0 | 66 |
| 2.768 | 32.3 | 22 |
| 2.754 | 32.5 | 100 |
| 2.719 | 32.9 | 98 |
| 1.843 | 49.5 | 25 |
| 1.612 | 57.2 | 21 |
| 1.591 | 58.0 | 21 |

=====

[3]
Dy2Er7Tm: theoretical powder X-ray diffraction pattern (λ = 1.5418 Å (Cu Kα)), based on DFT lattice parameters and positions (GGA-PBE).
Lines closer than 0.1° are merged.

```
data_Dy2Er7Tm
_cell_length_a 6.0606
_cell_length_b 7.0158
_cell_length_c 7.8289
_cell_angle_alpha 77.16
_cell_angle_beta 74.94
_cell_angle_gamma 73.27
_space_group_name_H-M_alt 'P -1'
_space_group_IT_number 2
loop_
_space_group_symop_operation_xyz
'x,y,z'
'-x,-y,-z'
loop_
_atom_site_label
_atom_site_type_symbol
_atom_site_fract_x
_atom_site_fract_y
_atom_site_fract_z
Dy1 Dy 0.2002 0.2997 0.1004
Er1 Er 0.0000 0.5000 0.5000
Er2 Er 0.1999 0.8000 0.1003
Er3 Er 0.4000 0.1001 0.6994
Er4 Er 0.3998 0.6002 0.6996
Tm1 Tm 0.0000 0.0000 0.5000
```

Top 8 peaks for 2θ from 10° to 90°, sorted by position:
| d_spacing | 2θ (°) | I/Imax |
| --- | --- | --- |
| 2.862 | 31.3 | 100 |
| 2.855 | 31.3 | 33 |
| 2.477 | 36.3 | 67 |
| 1.753 | 52.2 | 24 |
| 1.750 | 52.3 | 24 |
| 1.495 | 62.1 | 24 |
| 1.493 | 62.2 | 28 |
| 1.430 | 65.3 | 8 |

=====

[4]
Dy2Er2Tm: theoretical powder X-ray diffraction pattern (λ = 1.5418 Å (Cu Kα)), based on DFT lattice parameters and positions (GGA-PBE).
Lines closer than 0.1° are merged.

```
data_Dy2Er2Tm
_cell_length_a 3.4761
_cell_length_b 5.6381
_cell_length_c 16.0757
_cell_angle_alpha 90.00
_cell_angle_beta 90.00
_cell_angle_gamma 90.00
_space_group_name_H-M_alt 'A m m 2'
_space_group_IT_number 38
loop_
_space_group_symop_operation_xyz
'x,y,z'
'-x,-y,z'
'-x,y,z'
'x,-y,z'
'x,y+1/2,z+1/2'
'-x,-y+1/2,z+1/2'
'-x,y+1/2,z+1/2'
'x,-y+1/2,z+1/2'
loop_
_atom_site_label
_atom_site_type_symbol
_atom_site_fract_x
_atom_site_fract_y
_atom_site_fract_z
Dy1 Dy 0.0000 0.0000 0.0000
Dy2 Dy 0.5000 0.0000 0.1907
Er1 Er 0.0000 0.0000 0.3814
Er2 Er 0.5000 0.0000 0.8096
Tm1 Tm 0.0000 0.0000 0.6193
```

Top 8 peaks for 2θ from 10° to 90°, sorted by position:
| d_spacing | 2θ (°) | I/Imax |
| --- | --- | --- |
| 3.191 | 28.0 | 36 |
| 2.819 | 31.7 | 48 |
| 2.793 | 32.0 | 79 |
| 2.590 | 34.6 | 100 |
| 2.113 | 42.8 | 23 |
| 1.739 | 52.6 | 34 |
| 1.480 | 62.8 | 40 |
| 1.476 | 63.0 | 23 |